Record 1
Structure and theoretical X-ray powder pattern of SmErFe8B2 (a structure optimized by DFT (GGA-PBE); CuKα).
Neutral-atom scattering factors, no anomalous dispersion.

Structural model:
```
data_SmErFe8B2
_chemical_formula_sum 'Sm1 Er1 Fe8 B2'
_cell_length_a 5.0718
_cell_length_b 5.0718
_cell_length_c 7.0311
_cell_angle_alpha 90.00
_cell_angle_beta 90.00
_cell_angle_gamma 120.00
_symmetry_space_group_name_H-M 'P 6/m m m'
_symmetry_Int_Tables_number 191
_symmetry_space_group_name_Hall '-P 6 2'
loop_
_atom_site_label
_atom_site_fract_x
_atom_site_fract_y
_atom_site_fract_z
_atom_site_occupancy
Sm1 0.0000 0.0000 0.0000 1
Er1 0.0000 0.0000 0.5000 1
Fe1 0.0000 0.5000 0.2883 1
Fe2 0.3333 0.6667 0.0000 1
B1 0.3333 0.6667 0.5000 1
```

The 6 most intense peaks (2θ = 10–90°), in order of rising 2θ:
d 2.745, rel. 943, (1 0 2)
d 2.536, rel. 334, (1 1 0)
d 2.196, rel. 727, (2 0 0)
d 2.057, rel. 1000, (1 1 2)
d 1.501, rel. 301, (2 1 2)
d 1.352, rel. 243, (3 0 2)


Record 2
Structure and theoretical X-ray powder pattern of TbAg2Pb2 (a structure optimized by DFT (GGA-PBE); CuKα).
Neutral-atom scattering factors, no anomalous dispersion.

Structural model:
```
data_TbAg2Pb2
_chemical_formula_sum 'Tb2 Ag4 Pb4'
_cell_length_a 4.522
_cell_length_b 4.522
_cell_length_c 12.709
_cell_angle_alpha 90.00
_cell_angle_beta 90.00
_cell_angle_gamma 90.00
_symmetry_space_group_name_H-M 'I 4/m m m'
_symmetry_Int_Tables_number 139
_symmetry_space_group_name_Hall '-I 4 2'
loop_
_atom_site_label
_atom_site_fract_x
_atom_site_fract_y
_atom_site_fract_z
_atom_site_occupancy
Tb1 0.000 0.000 0.000 1
Ag1 0.000 0.000 0.399 1
Pb1 0.000 0.500 0.250 1
```

The 6 most intense peaks (2θ = 10–90°), in order of rising 2θ:
d 3.092, rel. 168, (1 0 3)
d 2.857, rel. 1000, (1 1 2)
d 2.261, rel. 410, (2 0 0)
d 2.254, rel. 251, (1 1 4)
d 2.216, rel. 178, (1 0 5)
d 1.395, rel. 230, (3 1 2)


Record 3
Structure and theoretical X-ray powder pattern of Mg2Ga5Cu6 (a structure optimized by DFT (GGA-PBE); CuKα).
Neutral-atom scattering factors, no anomalous dispersion.

Structural model:
```
data_Mg2Ga5Cu6
_chemical_formula_sum 'Mg6 Ga15 Cu18'
_cell_length_a 8.287
_cell_length_b 8.287
_cell_length_c 8.287
_cell_angle_alpha 90.00
_cell_angle_beta 90.00
_cell_angle_gamma 90.00
_symmetry_space_group_name_H-M 'P m -3'
_symmetry_Int_Tables_number 200
_symmetry_space_group_name_Hall '-P 2 2 3'
loop_
_atom_site_label
_atom_site_fract_x
_atom_site_fract_y
_atom_site_fract_z
_atom_site_occupancy
Mg1 0.000 0.319 0.500 1
Ga1 0.000 0.500 0.164 1
Ga2 0.218 0.218 0.218 1
Ga3 0.500 0.500 0.500 1
Cu1 0.000 0.000 0.225 1
Cu2 0.243 0.500 0.336 1
```

The 6 most intense peaks (2θ = 10–90°), in order of rising 2θ:
d 5.860, rel. 215, (1 1 0)
d 3.706, rel. 196, (2 0 1)
d 2.392, rel. 179, (2 2 2)
d 2.215, rel. 508, (3 2 1)
d 2.072, rel. 438, (4 0 0)
d 2.010, rel. 1000, (3 2 2)


Record 4
Structure and theoretical X-ray powder pattern of RbTbSO (a structure optimized by DFT (GGA-PBE); CuKα).
Neutral-atom scattering factors, no anomalous dispersion.

Structural model:
```
data_RbTbSO
_chemical_formula_sum 'Rb4 Tb4 S4 O4'
_cell_length_a 7.843
_cell_length_b 7.382
_cell_length_c 6.553
_cell_angle_alpha 90.00
_cell_angle_beta 104.30
_cell_angle_gamma 90.00
_symmetry_space_group_name_H-M 'P 1 21/c 1'
_symmetry_Int_Tables_number 14
loop_
_symmetry_equiv_pos_as_xyz
'x,y,z'
'-x,-y,-z'
'-x,y+1/2,-z+1/2'
'x,-y+1/2,z+1/2'
loop_
_atom_site_label
_atom_site_fract_x
_atom_site_fract_y
_atom_site_fract_z
_atom_site_occupancy
Rb1 0.081 0.242 0.007 1
Tb1 0.476 0.627 0.272 1
S1 0.261 0.593 0.851 1
O1 0.397 0.146 0.878 1
```

The 6 most intense peaks (2θ = 10–90°), in order of rising 2θ:
d 7.600, rel. 1000, (1 0 0)
d 3.800, rel. 616, (2 0 0)
d 3.227, rel. 472, (1 0 -2)
d 3.082, rel. 746, (1 2 -1)
d 2.702, rel. 668, (1 0 2)
d 2.608, rel. 484, (2 2 -1)


Record 5
Structure and theoretical X-ray powder pattern of LiLu3Zr2 (a structure optimized by DFT (GGA-PBE); CuKα).
Neutral-atom scattering factors, no anomalous dispersion.

Structural model:
```
data_LiLu3Zr2
_chemical_formula_sum 'Li1 Lu3 Zr2'
_cell_length_a 6.2362
_cell_length_b 6.2362
_cell_length_c 5.2132
_cell_angle_alpha 90.00
_cell_angle_beta 90.00
_cell_angle_gamma 120.00
_symmetry_space_group_name_H-M 'P 6/m m m'
_symmetry_Int_Tables_number 191
_symmetry_space_group_name_Hall '-P 6 2'
loop_
_atom_site_label
_atom_site_fract_x
_atom_site_fract_y
_atom_site_fract_z
_atom_site_occupancy
Li1 0.0000 0.0000 0.0000 1
Lu1 0.0000 0.5000 0.5000 1
Zr1 0.3333 0.6667 0.0000 1
```

The 6 most intense peaks (2θ = 10–90°), in order of rising 2θ:
d 5.401, rel. 723, (1 0 0)
d 5.213, rel. 331, (0 0 1)
d 2.700, rel. 350, (2 0 0)
d 2.676, rel. 491, (1 1 1)
d 2.607, rel. 289, (0 0 2)
d 2.398, rel. 1000, (2 0 1)


Record 6
Structure and theoretical X-ray powder pattern of Y2NiAs2Pt (a structure optimized by DFT (GGA-PBE); CuKα).
Neutral-atom scattering factors, no anomalous dispersion.

Structural model:
```
data_Y2NiAs2Pt
_chemical_formula_sum 'Y8 Ni4 As8 Pt4'
_cell_length_a 7.692
_cell_length_b 4.427
_cell_length_c 14.699
_cell_angle_alpha 90.00
_cell_angle_beta 99.76
_cell_angle_gamma 90.00
_symmetry_space_group_name_H-M 'P 1 m 1'
_symmetry_Int_Tables_number 6
loop_
_symmetry_equiv_pos_as_xyz
'x,y,z'
'x,-y,z'
loop_
_atom_site_label
_atom_site_fract_x
_atom_site_fract_y
_atom_site_fract_z
_atom_site_occupancy
Y1 0.000 0.000 0.000 1
Y2 0.005 0.500 0.492 1
Y3 0.237 0.000 0.737 1
Y4 0.245 0.500 0.243 1
Y5 0.483 0.000 0.485 1
Y6 0.498 0.500 0.000 1
Y7 0.744 0.000 0.238 1
Y8 0.755 0.500 0.739 1
Ni1 0.061 0.500 0.676 1
Ni2 0.062 0.000 0.185 1
Ni3 0.308 0.500 0.426 1
Ni4 0.557 0.500 0.185 1
As1 0.121 0.500 0.863 1
As2 0.125 0.000 0.363 1
As3 0.362 0.500 0.611 1
As4 0.372 0.000 0.124 1
As5 0.611 0.500 0.362 1
As6 0.622 0.000 0.867 1
As7 0.875 0.500 0.124 1
As8 0.879 0.000 0.616 1
Pt1 0.309 0.000 0.928 1
Pt2 0.557 0.000 0.676 1
Pt3 0.807 0.000 0.428 1
Pt4 0.808 0.500 0.929 1
```

The 6 most intense peaks (2θ = 10–90°), in order of rising 2θ:
d 3.621, rel. 725, (1 1 1)
d 2.219, rel. 1000, (3 1 -1)
d 2.213, rel. 499, (0 2 0)
d 1.889, rel. 235, (1 1 -7)
d 1.565, rel. 164, (2 2 -6)
d 1.279, rel. 324, (3 3 -1)